Entry 1:
Computed powder XRD pattern
Compound: MgCo5SnO12
Radiation: Cu Ka
Structure: a DFT-relaxed cell (PBE+U, the Materials Project)
Kinematic intensities with the Lorentz-polarization factor, no thermal factor.

Crystal structure
```
data_MgCo5SnO12
_space_group_name_H-M_alt 'C 1 m 1'
_space_group_IT_number 8
_cell_length_a 5.059
_cell_length_b 8.833
_cell_length_c 9.895
_cell_angle_alpha 90.00
_cell_angle_beta 98.39
_cell_angle_gamma 90.00
loop_
_space_group_symop_operation_xyz
'x,y,z'
'x,-y,z'
'x+1/2,y+1/2,z'
'x+1/2,-y+1/2,z'
loop_
_atom_site_label
_atom_site_type_symbol
_atom_site_fract_x
_atom_site_fract_y
_atom_site_fract_z
Mg1 Mg 0.000 0.000 0.000
Co1 Co 0.394 0.334 0.249
Co2 Co 0.403 0.000 0.262
Co3 Co 0.429 0.167 0.763
Sn1 Sn 0.413 0.500 0.700
O1 O 0.013 0.500 0.647
O2 O 0.060 0.000 0.349
O3 O 0.094 0.326 0.342
O4 O 0.096 0.191 0.649
O5 O 0.185 0.162 0.149
O6 O 0.227 0.500 0.145
O7 O 0.269 0.000 0.855
O8 O 0.293 0.342 0.854
```

Largest 10 diffraction maxima, by angle, 10° ≤ 2θ ≤ 80°:
2theta, d_spacing, I (rel.), index
18.12, 4.894, 100, 0 0 2
35.89, 2.502, 33, 1 3 -1
37.26, 2.413, 19, 1 3 1
37.92, 2.373, 9, 2 0 -2
42.93, 2.107, 8, 2 0 2
43.53, 2.079, 15, 1 3 -3
46.96, 1.935, 16, 1 3 3
57.27, 1.609, 6, 1 3 -5
63.60, 1.463, 11, 3 3 -1
66.30, 1.410, 11, 3 3 1



Entry 2:
Computed powder XRD pattern
Compound: Li4Ni3SbO8
Radiation: Cu Ka
Structure: a DFT-relaxed cell (PBE+U, the Materials Project)
Kinematic intensities with the Lorentz-polarization factor, no thermal factor.

Crystal structure
```
data_Li4Ni3SbO8
_space_group_name_H-M_alt 'C 1 2 1'
_space_group_IT_number 5
_cell_length_a 10.323
_cell_length_b 5.992
_cell_length_c 10.374
_cell_angle_alpha 90.00
_cell_angle_beta 109.32
_cell_angle_gamma 90.00
loop_
_space_group_symop_operation_xyz
'x,y,z'
'-x,y,-z'
'x+1/2,y+1/2,z'
'-x+1/2,y+1/2,-z'
loop_
_atom_site_label
_atom_site_type_symbol
_atom_site_fract_x
_atom_site_fract_y
_atom_site_fract_z
Li1 Li 0.000 0.000 0.000
Li2 Li 0.000 0.002 0.500
Li3 Li 0.000 0.250 0.250
Li4 Li 0.000 0.500 0.500
Li5 Li 0.000 0.502 0.000
Li6 Li 0.000 0.751 0.249
Ni1 Ni 0.250 0.000 0.750
Ni2 Ni 0.250 0.252 0.001
Ni3 Ni 0.250 0.252 0.499
Sb1 Sb 0.250 0.000 0.250
O1 O 0.132 0.243 0.132
O2 O 0.132 0.259 0.632
O3 O 0.132 0.743 0.632
O4 O 0.132 0.759 0.132
O5 O 0.134 0.002 0.371
O6 O 0.134 0.502 0.871
O7 O 0.143 0.002 0.870
O8 O 0.143 0.502 0.371
```

Largest 10 diffraction maxima, by angle, 10° ≤ 2θ ≤ 80°:
2theta, d_spacing, I (rel.), index
18.21, 4.873, 100, 2 0 0
35.14, 2.554, 47, 0 2 2
36.76, 2.445, 20, 2 2 -2
42.70, 2.117, 42, 2 2 2
42.85, 2.110, 21, 4 0 -4
46.88, 1.938, 11, 4 2 -2
56.52, 1.628, 9, 4 2 2
61.97, 1.497, 24, 0 4 0
62.22, 1.492, 12, 6 2 -2
65.12, 1.432, 11, 2 4 0



Entry 3:
Computed powder XRD pattern
Compound: V2ZnCuO7
Radiation: Cu Ka
Structure: a DFT-relaxed cell (PBE+U, the Materials Project)
Kinematic intensities with the Lorentz-polarization factor, no thermal factor.

Crystal structure
```
data_V2ZnCuO7
_space_group_name_H-M_alt 'C 1 2 1'
_space_group_IT_number 5
_cell_length_a 7.701
_cell_length_b 8.258
_cell_length_c 10.232
_cell_angle_alpha 90.00
_cell_angle_beta 110.43
_cell_angle_gamma 90.00
loop_
_space_group_symop_operation_xyz
'x,y,z'
'-x,y,-z'
'x+1/2,y+1/2,z'
'-x+1/2,y+1/2,-z'
loop_
_atom_site_label
_atom_site_type_symbol
_atom_site_fract_x
_atom_site_fract_y
_atom_site_fract_z
V1 V 0.235 0.000 0.040
V2 V 0.236 0.534 0.542
Zn1 Zn 0.172 0.192 0.730
Cu1 Cu 0.188 0.339 0.234
O1 O 0.000 0.598 0.500
O2 O 0.000 0.934 0.000
O3 O 0.114 0.180 0.351
O4 O 0.118 0.359 0.855
O5 O 0.222 0.521 0.120
O6 O 0.223 0.004 0.614
O7 O 0.234 0.856 0.373
O8 O 0.239 0.678 0.873
```

Largest 10 diffraction maxima, by angle, 10° ≤ 2θ ≤ 80°:
2theta, d_spacing, I (rel.), index
16.31, 5.434, 26, 1 1 0
24.67, 3.608, 67, 2 0 0
27.87, 3.202, 16, 1 1 2
28.49, 3.133, 100, 0 2 2
33.36, 2.686, 13, 2 2 -2
34.97, 2.566, 13, 1 3 -1
37.36, 2.407, 9, 2 2 -3
39.00, 2.309, 13, 3 1 0
42.30, 2.136, 23, 2 2 2
56.15, 1.638, 18, 1 3 -5



Entry 4:
Computed powder XRD pattern
Compound: Na2MgFe4O7
Radiation: Cu Ka
Structure: a DFT-relaxed cell (PBE+U, the Materials Project)
Kinematic intensities with the Lorentz-polarization factor, no thermal factor.

Crystal structure
```
data_Na2MgFe4O7
_space_group_name_H-M_alt 'P 1'
_space_group_IT_number 1
_cell_length_a 5.621
_cell_length_b 5.648
_cell_length_c 5.919
_cell_angle_alpha 91.78
_cell_angle_beta 92.63
_cell_angle_gamma 117.74
loop_
_space_group_symop_operation_xyz
'x,y,z'
loop_
_atom_site_label
_atom_site_type_symbol
_atom_site_fract_x
_atom_site_fract_y
_atom_site_fract_z
Na1 Na 0.000 0.000 0.000
Na2 Na 0.465 0.534 0.999
Mg1 Mg 0.531 0.067 0.889
Fe1 Fe 0.161 0.689 0.631
Fe2 Fe 0.522 0.388 0.476
Fe3 Fe 0.858 0.056 0.478
Fe4 Fe 0.999 0.533 0.201
O1 O 0.186 0.325 0.302
O2 O 0.210 0.745 0.976
O3 O 0.242 0.118 0.677
O4 O 0.578 0.778 0.675
O5 O 0.649 0.184 0.227
O6 O 0.794 0.720 0.307
O7 O 0.801 0.333 0.674
```

Largest 10 diffraction maxima, by angle, 10° ≤ 2θ ≤ 80°:
2theta, d_spacing, I (rel.), index
15.01, 5.903, 100, 0 0 1
24.01, 3.706, 59, 0 1 1
24.20, 3.677, 49, 1 0 1
30.78, 2.905, 48, 1 1 0
31.73, 2.820, 49, 1 -2 0
33.35, 2.687, 46, 1 1 -1
34.83, 2.576, 63, -2 1 1
36.03, 2.493, 48, 2 -1 1
41.98, 2.152, 52, 1 1 -2
49.33, 1.847, 56, 1 2 -1